Calculated X-ray diffraction stick pattern of V2SO8 for Cu Kα (weighted mean of Kα1 and Kα2), from the GGA+U geometry in Alexandria.
No peak broadening, texture or thermal motion is included.

Crystal structure
Cell: 5.881 13.733 10.053 Å, 90.00 90.00 90.00°
Space group Pnma (No. 62)
Asymmetric unit:
V 0.237 0.050 0.150 [8 per cell]
S 0.073 0.750 0.526 [4 per cell]
O 0.021 0.750 0.388 [4 per cell]
O 0.024 0.543 0.757 [8 per cell]
O 0.105 0.250 0.375 [4 per cell]
O 0.242 0.663 0.555 [8 per cell]
O 0.246 0.539 0.046 [8 per cell]

Largest 12 diffraction maxima, in order of rising 2θ, 10 to 90 degrees two-theta:
hkl 0 1 1, 10.9°, d = 8.112 Å, I 87; hkl 0 2 0, 12.9°, d = 6.866 Å, I 40; hkl 1 0 1, 17.5°, d = 5.076 Å, I 29; hkl 1 1 1, 18.6°, d = 4.761 Å, I 48; hkl 0 3 1, 21.3°, d = 4.166 Å, I 46; hkl 1 2 1, 21.8°, d = 4.082 Å, I 52; hkl 0 2 2, 21.9°, d = 4.056 Å, I 43; hkl 1 0 2, 23.3°, d = 3.821 Å, I 100; hkl 0 4 0, 26.0°, d = 3.433 Å, I 31; hkl 1 2 2, 26.7°, d = 3.339 Å, I 71; hkl 2 2 0, 33.1°, d = 2.703 Å, I 29; hkl 1 3 3, 36.6°, d = 2.457 Å, I 41